Record 1
For GaTe2HRh, DFT lattice parameters and positions (PBE) gives the calculated powder diffractogram in this record (Cu Kα (λ = 1.5418 Å)).

Cell and atoms:
```
GaTe2HRh
1.0
5.2666 0.0000 0.0000
0.0000 5.2666 0.0000
0.0000 0.0000 4.7985
Ga Te H Rh
1 2 1 1
direct
0.0000 0.0000 0.0000 Ga
0.0000 0.5000 0.5000 Te
0.5000 0.0000 0.5000 Te
0.5000 0.5000 0.0000 H
0.0000 0.0000 0.5000 Rh
```

Top 10 peaks for 10° ≤ 2θ ≤ 80°, sorted by position:
2θ/deg  d [Å]  I/Imax
16.83  5.267  99
18.49  4.799  98
30.38  2.942  69
34.05  2.633  100
37.49  2.399  38
38.21  2.355  25
39.02  2.309  58
48.92  1.862  35
51.53  1.774  61
63.23  1.471  41

=====

Record 2
For Th2GaHRh6, DFT lattice parameters and positions (PBE) gives the calculated powder diffractogram in this record (Cu Kα (λ = 1.5418 Å)).

Cell and atoms:
```
Th2GaHRh6
1.0
-3.0710 3.0841 4.3536
3.0710 -3.0841 4.3536
3.0710 3.0841 -4.3536
Th Ga H Rh
2 1 1 6
direct
0.2504 0.2504 0.0000 Th
0.7496 0.7496 0.0000 Th
0.5000 0.0000 0.5000 Ga
0.0000 0.5000 0.5000 H
0.2271 0.2720 0.4990 Rh
0.2271 0.7280 0.9551 Rh
0.2278 0.7278 0.5000 Rh
0.7722 0.2722 0.5000 Rh
0.7729 0.2720 0.0449 Rh
0.7729 0.7280 0.5010 Rh
```

Top 10 peaks for 10° ≤ 2θ ≤ 80°, sorted by position:
2θ/deg  d [Å]  I/Imax
29.00  3.079  36
35.68  2.517  77
35.78  2.509  77
41.49  2.176  100
59.99  1.542  11
60.12  1.539  42
60.27  1.536  10
71.87  1.314  26
72.02  1.311  26
75.82  1.255  10

=====

Record 3
For GaH2Ru, DFT lattice parameters and positions (PBE) gives the calculated powder diffractogram in this record (Cu Kα (λ = 1.5418 Å)).

Cell and atoms:
```
GaH2Ru
1.0
3.0748 0.0000 0.0000
0.0000 4.3213 0.0000
0.0000 0.0000 5.3893
Ga H Ru
2 4 2
direct
0.2500 0.2500 0.0647 Ga
0.7500 0.7500 0.9353 Ga
0.2500 0.0048 0.6342 H
0.2500 0.4952 0.6342 H
0.7500 0.5048 0.3658 H
0.7500 0.9952 0.3658 H
0.2500 0.7500 0.3351 Ru
0.7500 0.2500 0.6649 Ru
```

Top 10 peaks for 10° ≤ 2θ ≤ 80°, sorted by position:
2θ/deg  d [Å]  I/Imax
26.44  3.371  37
33.56  2.671  74
39.41  2.287  73
39.67  2.272  100
41.81  2.161  45
49.69  1.835  36
54.64  1.680  38
60.19  1.537  16
74.35  1.276  22
75.97  1.253  15

=====

Record 4
For Ga2H5Ru, DFT lattice parameters and positions (PBE) gives the calculated powder diffractogram in this record (Cu Kα (λ = 1.5418 Å)).

Cell and atoms:
```
Ga2H5Ru
1.0
4.6072 0.0000 0.0000
-1.5249 4.4111 0.0000
-1.5551 -1.9643 3.9430
Ga H Ru
2 5 1
direct
0.0000 0.0000 0.0000 Ga
0.0012 0.5602 0.4387 Ga
0.1933 0.1748 0.6164 H
0.4305 0.7036 0.4535 H
0.4307 0.0186 0.1457 H
0.6149 0.6261 0.0620 H
0.7797 0.2845 0.7256 H
0.7726 0.9787 0.4179 Ru
```

Top 10 peaks for 10° ≤ 2θ ≤ 80°, sorted by position:
2θ/deg  d [Å]  I/Imax
22.53  3.946  82
23.17  3.839  100
23.54  3.779  35
33.34  2.687  28
33.48  2.676  28
39.72  2.269  22
40.40  2.233  64
41.26  2.188  30
41.54  2.174  24
46.00  1.973  46

=====

Record 5
For ThGaH6Ru3, DFT lattice parameters and positions (PBE) gives the calculated powder diffractogram in this record (Cu Kα (λ = 1.5418 Å)).

Cell and atoms:
```
ThGaH6Ru3
1.0
3.5942 2.0751 2.4105
-3.5942 2.0751 2.4105
0.0000 -4.1503 2.4105
Th Ga H Ru
1 1 6 3
direct
0.0000 0.0000 0.0000 Th
0.5913 0.5913 0.5913 Ga
0.1423 0.4940 0.8645 H
0.1423 0.8645 0.4940 H
0.4940 0.1423 0.8645 H
0.4940 0.8645 0.1423 H
0.8645 0.1423 0.4940 H
0.8645 0.4940 0.1423 H
0.0574 0.4732 0.4732 Ru
0.4732 0.0574 0.4732 Ru
0.4732 0.4732 0.0574 Ru
```

Top 10 peaks for 10° ≤ 2θ ≤ 80°, sorted by position:
2θ/deg  d [Å]  I/Imax
24.77  3.594  44
31.29  2.859  100
37.30  2.410  32
38.15  2.359  88
40.31  2.238  18
46.02  1.972  24
50.81  1.797  34
59.09  1.563  18
64.70  1.441  26
72.00  1.312  15

=====

Record 6
For GaH2S2, DFT lattice parameters and positions (PBE) gives the calculated powder diffractogram in this record (Cu Kα (λ = 1.5418 Å)).

Cell and atoms:
```
GaH2S2
1.0
6.9390 0.0000 0.0000
0.0000 6.9390 0.0000
0.0000 0.0000 3.1092
Ga H S
2 4 4
direct
0.0000 0.0000 0.0000 Ga
0.5000 0.5000 0.0000 Ga
0.1426 0.3574 0.5000 H
0.3574 0.8574 0.5000 H
0.6426 0.1426 0.5000 H
0.8574 0.6426 0.5000 H
0.1927 0.3073 0.0000 S
0.3073 0.8073 0.0000 S
0.6927 0.1927 0.0000 S
0.8073 0.6927 0.0000 S
```

Top 10 peaks for 10° ≤ 2θ ≤ 80°, sorted by position:
2θ/deg  d [Å]  I/Imax
18.08  4.907  90
28.73  3.107  100
34.14  2.626  41
36.63  2.453  47
41.13  2.195  66
47.19  1.926  45
50.94  1.793  49
62.75  1.481  16
67.44  1.389  15
74.86  1.268  17

=====

Record 7
For Sc4GaH, DFT lattice parameters and positions (PBE) gives the calculated powder diffractogram in this record (Cu Kα (λ = 1.5418 Å)).

Cell and atoms:
```
Sc4GaH
1.0
4.6077 0.0000 0.0000
0.0000 7.8439 0.0000
0.0000 0.0000 6.3442
Sc Ga H
8 2 2
direct
0.2500 0.0549 0.2142 Sc
0.2500 0.2500 0.7498 Sc
0.2500 0.4451 0.2142 Sc
0.2500 0.7500 0.5545 Sc
0.7500 0.2500 0.4455 Sc
0.7500 0.5549 0.7858 Sc
0.7500 0.7500 0.2502 Sc
0.7500 0.9451 0.7858 Sc
0.2500 0.7500 0.9795 Ga
0.7500 0.2500 0.0205 Ga
0.2500 0.2500 0.4228 H
0.7500 0.7500 0.5772 H
```

Top 10 peaks for 10° ≤ 2θ ≤ 80°, sorted by position:
2θ/deg  d [Å]  I/Imax
13.96  6.344  18
22.67  3.922  25
33.15  2.702  76
36.24  2.479  100
36.43  2.466  24
39.10  2.304  41
39.63  2.274  27
54.50  1.684  14
68.98  1.361  13
69.95  1.345  21

=====

Record 8
For Ga2HSe, DFT lattice parameters and positions (PBE) gives the calculated powder diffractogram in this record (Cu Kα (λ = 1.5418 Å)).

Cell and atoms:
```
Ga2HSe
1.0
-2.7563 2.7563 5.0519
2.7563 -2.7563 5.0519
2.7563 2.7563 -5.0519
Ga H Se
4 2 2
direct
0.0339 0.6250 0.9089 Ga
0.3750 0.2839 0.4089 Ga
0.7161 0.1250 0.0911 Ga
0.8750 0.9661 0.5911 Ga
0.0000 0.0000 0.0000 H
0.7500 0.2500 0.5000 H
0.2500 0.7500 0.5000 Se
0.5000 0.5000 0.0000 Se
```

Top 10 peaks for 10° ≤ 2θ ≤ 80°, sorted by position:
2θ/deg  d [Å]  I/Imax
28.93  3.086  100
31.12  2.874  34
37.55  2.395  61
45.60  1.989  12
46.60  1.949  12
48.91  1.862  36
50.48  1.808  16
55.79  1.648  13
59.83  1.546  12
67.25  1.392  16

=====

Record 9
For GaSiH2, DFT lattice parameters and positions (PBE) gives the calculated powder diffractogram in this record (Cu Kα (λ = 1.5418 Å)).

Cell and atoms:
```
GaSiH2
1.0
3.8423 0.0000 0.0000
-1.1822 5.1465 0.0000
-1.5218 -1.2890 5.4672
Ga Si H
2 2 4
direct
0.0374 0.2614 0.0665 Ga
0.9626 0.7386 0.9335 Ga
0.2973 0.5069 0.6365 Si
0.7027 0.4931 0.3635 Si
0.2089 0.2278 0.6820 H
0.4412 0.0279 0.5349 H
0.5588 0.9721 0.4651 H
0.7911 0.7722 0.3180 H
```

Top 10 peaks for 10° ≤ 2θ ≤ 80°, sorted by position:
2θ/deg  d [Å]  I/Imax
16.21  5.467  100
17.71  5.009  49
21.13  4.205  50
25.00  3.562  71
25.28  3.522  57
34.01  2.636  64
34.66  2.588  65
35.85  2.505  77
37.73  2.384  41
43.03  2.102  41

=====

Record 10
For GaSiH2, DFT lattice parameters and positions (PBE) gives the calculated powder diffractogram in this record (Cu Kα (λ = 1.5418 Å)).

Cell and atoms:
```
GaSiH2
1.0
2.9629 0.0000 0.0000
1.4760 3.9017 0.0000
1.4531 -0.5316 5.6520
Ga Si H
1 1 2
direct
0.0000 0.0000 0.0000 Ga
0.8249 0.5296 0.8167 Si
0.8598 0.0118 0.2750 H
0.9621 0.5138 0.5524 H
```

Top 10 peaks for 10° ≤ 2θ ≤ 80°, sorted by position:
2θ/deg  d [Å]  I/Imax
15.68  5.652  100
26.60  3.351  20
29.09  3.070  12
33.06  2.710  15
33.53  2.673  17
33.64  2.664  17
37.56  2.394  13
41.22  2.190  20
46.73  1.944  23
51.16  1.785  14

=====

Record 11
For GaSiH2, DFT lattice parameters and positions (PBE) gives the calculated powder diffractogram in this record (Cu Kα (λ = 1.5418 Å)).

Cell and atoms:
```
GaSiH2
1.0
4.4366 0.0000 0.0000
-2.1778 3.9212 0.0000
-0.4520 -0.9703 6.3844
Ga Si H
2 2 4
direct
0.1497 0.3254 0.0333 Ga
0.8503 0.6746 0.9667 Ga
0.3876 0.5308 0.6594 Si
0.6124 0.4692 0.3406 Si
0.0205 0.2350 0.6147 H
0.3635 0.8543 0.6652 H
0.6365 0.1457 0.3348 H
0.9795 0.7650 0.3853 H
```

Top 10 peaks for 10° ≤ 2θ ≤ 80°, sorted by position:
2θ/deg  d [Å]  I/Imax
13.87  6.384  100
22.94  3.877  44
23.14  3.844  34
25.39  3.508  21
27.95  3.192  21
28.68  3.113  31
34.01  2.636  35
36.32  2.473  18
40.41  2.232  26
44.24  2.047  32

=====

Record 12
For Sm3GaH, DFT lattice parameters and positions (PBE) gives the calculated powder diffractogram in this record (Cu Kα (λ = 1.5418 Å)).

Cell and atoms:
```
Sm3GaH
1.0
6.5814 0.0000 0.0000
0.0000 6.4471 0.0000
-1.0166 0.0000 11.0029
Sm Ga H
12 4 4
direct
0.0802 0.0476 0.1567 Sm
0.0802 0.4524 0.6567 Sm
0.2134 0.5344 0.0884 Sm
0.2134 0.9656 0.5884 Sm
0.3958 0.1667 0.8771 Sm
0.3958 0.3333 0.3771 Sm
0.6042 0.6667 0.6229 Sm
0.6042 0.8333 0.1229 Sm
0.7866 0.0344 0.4116 Sm
0.7866 0.4656 0.9116 Sm
0.9198 0.5476 0.3433 Sm
0.9198 0.9524 0.8433 Sm
0.3552 0.6935 0.8495 Ga
0.3552 0.8065 0.3495 Ga
0.6448 0.1935 0.6505 Ga
0.6448 0.3065 0.1505 Ga
0.0817 0.2325 0.9707 H
0.0817 0.2675 0.4707 H
0.9183 0.7325 0.5293 H
0.9183 0.7675 0.0293 H
```

Top 10 peaks for 10° ≤ 2θ ≤ 80°, sorted by position:
2θ/deg  d [Å]  I/Imax
30.18  2.961  71
30.44  2.937  51
30.91  2.893  57
31.02  2.883  75
32.32  2.770  100
32.55  2.751  75
33.08  2.708  98
34.44  2.604  39
35.65  2.518  65
38.86  2.317  35

=====

Record 13
For SrGaH, DFT lattice parameters and positions (PBE) gives the calculated powder diffractogram in this record (Cu Kα (λ = 1.5418 Å)).

Cell and atoms:
```
SrGaH
1.0
3.6722 -2.1232 0.0000
3.6722 2.1232 0.0000
-2.4557 0.0000 7.9947
Sr Ga H
2 2 2
direct
0.0000 0.0000 0.0000 Sr
0.2044 0.2044 0.6111 Sr
0.4371 0.4371 0.3105 Ga
0.7728 0.7728 0.3169 Ga
0.3067 0.3067 0.9191 H
0.5872 0.5872 0.7577 H
```

Top 10 peaks for 10° ≤ 2θ ≤ 80°, sorted by position:
2θ/deg  d [Å]  I/Imax
11.07  7.995  38
28.49  3.133  87
30.65  2.917  100
33.63  2.665  36
42.61  2.122  66
52.06  1.757  16
53.40  1.716  20
55.35  1.660  51
59.54  1.553  13
69.46  1.353  13

=====

Record 14
For SrGaH, DFT lattice parameters and positions (PBE) gives the calculated powder diffractogram in this record (Cu Kα (λ = 1.5418 Å)).

Cell and atoms:
```
SrGaH
1.0
2.1239 1.2262 8.3273
-2.1239 1.2262 8.3273
0.0000 -2.4525 8.3273
Sr Ga H
2 2 2
direct
0.0996 0.0996 0.0996 Sr
0.9004 0.9004 0.9004 Sr
0.3366 0.3366 0.3366 Ga
0.6634 0.6634 0.6634 Ga
0.1993 0.1993 0.1993 H
0.8007 0.8007 0.8007 H
```

Top 10 peaks for 10° ≤ 2θ ≤ 80°, sorted by position:
2θ/deg  d [Å]  I/Imax
10.62  8.327  50
28.15  3.170  100
30.17  2.962  90
32.25  2.776  38
35.03  2.562  25
42.57  2.124  68
51.82  1.764  18
53.06  1.726  18
54.39  1.687  50
62.47  1.487  16